1.
This entry pairs a crystal structure of Cs3Sr2I5Cl2 with its calculated PXRD pattern. Radiation: Cu Kα (λ = 1.5418 Å). Structure: a DFT-relaxed cell (PBE, Alexandria).
Lines closer than 0.1° are merged.

The 10 most intense peaks (2θ from 10° to 90°), in order of falling intensity:
27.4 deg, d 3.255, intensity 100.0, (2 0 0)
26.3 deg, d 3.384, intensity 75.9, (1 1 6)
22.7 deg, d 3.922, intensity 57.2, (1 1 4)
41.0 deg, d 2.203, intensity 56.2, (2 0 10)
29.9 deg, d 2.992, intensity 41.5, (0 0 10)
39.1 deg, d 2.302, intensity 37.8, (2 2 0)
20.1 deg, d 4.407, intensity 30.7, (1 0 5)
47.8 deg, d 1.903, intensity 29.1, (3 1 6)
50.0 deg, d 1.825, intensity 28.7, (2 2 10)
11.8 deg, d 7.485, intensity 22.8, (0 0 4)

Cell and atoms:
a b c (Å): 6.511 6.511 29.941
angles (deg): 90.00 90.00 90.00
Space group I4/mmm (No. 139)
Inequivalent atoms, fractional coordinates:
Cs 0.000 0.000 0.000
Cs 0.000 0.000 0.186
Sr 0.000 0.000 0.390
I 0.000 0.000 0.500
I 0.000 0.500 0.103
Cl 0.000 0.000 0.297

***

2.
This entry pairs a crystal structure of Cs2TaI5Cl with its calculated PXRD pattern. Radiation: Cu Kα (λ = 1.5418 Å). Structure: a DFT-relaxed cell (PBE, Alexandria).
Lines closer than 0.1° are merged.

The 10 most intense peaks (2θ from 10° to 90°), in order of falling intensity:
26.3 deg, d 3.394, intensity 100.0, (2 0 2)
29.7 deg, d 3.008, intensity 79.0, (2 2 0)
13.0 deg, d 6.789, intensity 58.4, (1 0 1)
44.1 deg, d 2.056, intensity 51.4, (2 2 4)
31.8 deg, d 2.816, intensity 33.1, (0 0 4)
50.6 deg, d 1.802, intensity 28.6, (4 2 2)
42.5 deg, d 2.127, intensity 28.4, (4 0 0)
54.0 deg, d 1.697, intensity 27.1, (4 0 4)
21.6 deg, d 4.111, intensity 23.5, (1 1 2)
78.9 deg, d 1.214, intensity 16.5, (6 2 4)

Cell and atoms:
a b c (Å): 8.508 8.508 11.264
angles (deg): 90.00 90.00 90.00
Space group I4mm (No. 107)
Inequivalent atoms, fractional coordinates:
Cs 0.000 0.500 0.000
Ta 0.000 0.000 0.254
I 0.000 0.000 0.005
I 0.235 0.235 0.251
Cl 0.000 0.000 0.464

***

3.
This entry pairs a crystal structure of Cs2TcI2Cl4 with its calculated PXRD pattern. Radiation: Cu Kα (λ = 1.5418 Å). Structure: a DFT-relaxed cell (PBE, Alexandria).
Lines closer than 0.1° are merged.

The 10 most intense peaks (2θ from 10° to 90°), in order of falling intensity:
28.1 deg, d 3.181, intensity 100.0, (2 0 2)
22.1 deg, d 4.016, intensity 63.0, (2 0 0)
31.5 deg, d 2.840, intensity 58.5, (2 2 0)
47.4 deg, d 1.919, intensity 34.2, (2 2 4)
54.0 deg, d 1.698, intensity 24.1, (4 2 2)
34.5 deg, d 2.603, intensity 23.8, (0 0 4)
41.3 deg, d 2.184, intensity 23.4, (2 0 4)
13.9 deg, d 6.360, intensity 22.2, (1 0 1)
36.0 deg, d 2.494, intensity 19.7, (2 2 2)
45.2 deg, d 2.008, intensity 19.0, (4 0 0)

Cell and atoms:
a b c (Å): 8.032 8.032 10.412
angles (deg): 90.00 90.00 90.00
Space group I4/mmm (No. 139)
Inequivalent atoms, fractional coordinates:
Cs 0.000 0.500 0.250
Tc 0.000 0.000 0.000
I 0.000 0.000 0.265
Cl 0.210 0.210 0.000

***

4.
This entry pairs a crystal structure of Cs3Tl2I2Cl3 with its calculated PXRD pattern. Radiation: Cu Kα (λ = 1.5418 Å). Structure: a DFT-relaxed cell (PBE, Alexandria).
Lines closer than 0.1° are merged.

The 10 most intense peaks (2θ from 10° to 90°), in order of falling intensity:
20.6 deg, d 4.320, intensity 100.0, (1 0 5)
34.6 deg, d 2.589, intensity 76.4, (1 1 10)
32.3 deg, d 2.770, intensity 46.7, (2 0 0)
38.6 deg, d 2.332, intensity 41.6, (2 1 5)
22.7 deg, d 3.917, intensity 36.6, (1 1 0)
59.1 deg, d 1.562, intensity 32.0, (3 1 10)
46.4 deg, d 1.959, intensity 16.8, (2 2 0)
10.3 deg, d 8.625, intensity 16.4, (0 0 4)
42.6 deg, d 2.124, intensity 15.2, (1 0 15)
41.8 deg, d 2.160, intensity 15.1, (2 0 10)

Cell and atoms:
a b c (Å): 5.540 5.540 34.502
angles (deg): 90.00 90.00 90.00
Space group I4/mmm (No. 139)
Inequivalent atoms, fractional coordinates:
Cs 0.000 0.000 0.000
Cs 0.000 0.000 0.401
Tl 0.000 0.000 0.198
I 0.000 0.500 0.250
Cl 0.000 0.000 0.097
Cl 0.000 0.000 0.500

***

5.
This entry pairs a crystal structure of Cs2TlICl4 with its calculated PXRD pattern. Radiation: Cu Kα (λ = 1.5418 Å). Structure: a DFT-relaxed cell (PBE, Alexandria).
Lines closer than 0.1° are merged.

The 10 most intense peaks (2θ from 10° to 90°), in order of falling intensity:
23.1 deg, d 3.855, intensity 100.0, (0 4 0)
21.4 deg, d 4.146, intensity 99.5, (2 2 0)
24.6 deg, d 3.620, intensity 89.8, (0 0 2)
22.5 deg, d 3.959, intensity 85.9, (2 2 -2)
34.0 deg, d 2.639, intensity 70.5, (0 4 2)
28.3 deg, d 3.156, intensity 55.9, (4 0 -2)
36.8 deg, d 2.442, intensity 50.8, (4 4 -2)
45.9 deg, d 1.979, intensity 28.8, (4 4 -4)
43.7 deg, d 2.073, intensity 28.7, (4 4 0)
39.6 deg, d 2.278, intensity 25.8, (2 6 0)

Cell and atoms:
a b c (Å): 12.649 15.419 9.312
angles (deg): 90.00 128.97 90.00
Space group C2/c (No. 15)
Inequivalent atoms, fractional coordinates:
Cs 0.000 0.000 0.000
Cs 0.250 0.250 0.000
Tl 0.000 0.500 0.000
I 0.250 0.250 0.500
Cl 0.061 0.263 0.532
Cl 0.239 0.467 0.000

***

6.
This entry pairs a crystal structure of CsZnICl2 with its calculated PXRD pattern. Radiation: Cu Kα (λ = 1.5418 Å). Structure: a DFT-relaxed cell (PBE, Alexandria).
Lines closer than 0.1° are merged.

The 10 most intense peaks (2θ from 10° to 90°), in order of falling intensity:
28.9 deg, d 3.087, intensity 100.0, (1 1 1)
24.1 deg, d 3.698, intensity 76.2, (1 1 0)
34.3 deg, d 2.615, intensity 76.1, (2 0 0)
47.5 deg, d 1.912, intensity 58.3, (2 0 2)
31.9 deg, d 2.804, intensity 46.5, (0 0 2)
40.4 deg, d 2.234, intensity 40.2, (1 1 2)
59.9 deg, d 1.544, intensity 28.5, (2 2 2)
49.3 deg, d 1.849, intensity 26.1, (2 2 0)
58.2 deg, d 1.586, intensity 25.6, (3 1 1)
65.5 deg, d 1.425, intensity 19.5, (3 1 2)

Cell and atoms:
a b c (Å): 5.230 5.230 5.608
angles (deg): 90.00 90.00 90.00
Space group P4/mmm (No. 123)
Inequivalent atoms, fractional coordinates:
Cs 0.000 0.000 0.000
Zn 0.500 0.500 0.500
I 0.500 0.500 0.000
Cl 0.000 0.500 0.500

***

7.
This entry pairs a crystal structure of Cs3In2Cl8 with its calculated PXRD pattern. Radiation: Cu Kα (λ = 1.5418 Å). Structure: a DFT-relaxed cell (PBE, Alexandria).
Lines closer than 0.1° are merged.

The 10 most intense peaks (2θ from 10° to 90°), in order of falling intensity:
23.0 deg, d 3.868, intensity 100.0, (1 1 0)
20.2 deg, d 4.403, intensity 84.4, (0 1 5)
30.8 deg, d 2.906, intensity 56.2, (2 0 5)
38.8 deg, d 2.323, intensity 38.5, (1 2 5)
33.5 deg, d 2.678, intensity 36.1, (1 0 10)
47.0 deg, d 1.934, intensity 28.7, (2 2 0)
47.5 deg, d 1.913, intensity 22.2, (2 1 10)
40.4 deg, d 2.233, intensity 22.1, (3 0 0)
52.6 deg, d 1.740, intensity 18.8, (1 1 15)
51.6 deg, d 1.771, intensity 16.6, (3 1 5)

Cell and atoms:
a b c (Å): 7.7355 7.7355 29.2158
angles (deg): 90.00 90.00 120.00
Space group R-3m (No. 166, hexagonal axes)
Inequivalent atoms, fractional coordinates:
Cs 0.0000 0.0000 0.0000
Cs 0.0000 0.0000 0.2065
In 0.0000 0.0000 0.4092
Cl 0.0000 0.0000 0.3242
Cl 0.0202 0.5101 0.7696

***

8.
This entry pairs a crystal structure of Cs2In2Cl5 with its calculated PXRD pattern. Radiation: Cu Kα (λ = 1.5418 Å). Structure: a DFT-relaxed cell (PBE, Alexandria).
Lines closer than 0.1° are merged.

The 10 most intense peaks (2θ from 10° to 90°), in order of falling intensity:
22.3 deg, d 3.980, intensity 100.0, (4 1 1)
33.0 deg, d 2.711, intensity 50.8, (0 2 2)
23.3 deg, d 3.822, intensity 38.4, (0 0 2)
23.1 deg, d 3.845, intensity 37.7, (0 2 0)
45.6 deg, d 1.990, intensity 30.5, (8 2 2)
30.5 deg, d 2.931, intensity 28.5, (8 0 0)
38.7 deg, d 2.328, intensity 28.2, (8 0 2)
40.2 deg, d 2.245, intensity 25.9, (4 3 1)
40.3 deg, d 2.236, intensity 25.5, (4 1 3)
57.6 deg, d 1.601, intensity 9.5, (8 0 4)

Cell and atoms:
a b c (Å): 23.450 7.690 7.644
angles (deg): 90.00 90.00 90.00
Space group Ima2 (No. 46)
Inequivalent atoms, fractional coordinates:
Cs 0.110 0.004 0.000
In 0.000 0.000 0.498
In 0.250 0.022 0.483
Cl 0.001 0.250 0.248
Cl 0.119 0.506 0.999
Cl 0.250 0.131 0.119

***

9.
This entry pairs a crystal structure of Cs3In2Cl7 with its calculated PXRD pattern. Radiation: Cu Kα (λ = 1.5418 Å). Structure: a DFT-relaxed cell (PBE, Alexandria).
Lines closer than 0.1° are merged.

The 10 most intense peaks (2θ from 10° to 90°), in order of falling intensity:
22.6 deg, d 3.942, intensity 100.0, (1 0 5)
32.7 deg, d 2.738, intensity 76.8, (2 0 0)
23.0 deg, d 3.872, intensity 73.6, (1 1 0)
40.1 deg, d 2.249, intensity 45.7, (2 1 5)
46.0 deg, d 1.971, intensity 33.2, (2 0 10)
46.9 deg, d 1.936, intensity 30.0, (2 2 0)
29.8 deg, d 2.997, intensity 26.8, (1 1 6)
31.5 deg, d 2.840, intensity 25.5, (0 0 10)
57.6 deg, d 1.599, intensity 22.9, (2 2 10)
39.3 deg, d 2.290, intensity 20.6, (1 1 10)

Cell and atoms:
a b c (Å): 5.476 5.476 28.398
angles (deg): 90.00 90.00 90.00
Space group I4/mmm (No. 139)
Inequivalent atoms, fractional coordinates:
Cs 0.000 0.000 0.000
Cs 0.000 0.000 0.183
In 0.000 0.000 0.402
Cl 0.000 0.000 0.306
Cl 0.000 0.000 0.500
Cl 0.000 0.500 0.097

***

10.
This entry pairs a crystal structure of Cs3InCl4 with its calculated PXRD pattern. Radiation: Cu Kα (λ = 1.5418 Å). Structure: a DFT-relaxed cell (PBE, Alexandria).
Lines closer than 0.1° are merged.

The 10 most intense peaks (2θ from 10° to 90°), in order of falling intensity:
25.4 deg, d 3.511, intensity 100.0, (2 0 2)
36.6 deg, d 2.457, intensity 73.7, (2 4 2)
25.9 deg, d 3.438, intensity 51.0, (0 4 0)
22.1 deg, d 4.015, intensity 47.5, (2 2 0)
22.0 deg, d 4.037, intensity 47.4, (0 2 2)
59.1 deg, d 1.564, intensity 22.3, (4 4 4)
42.9 deg, d 2.108, intensity 21.2, (4 2 2)
42.7 deg, d 2.118, intensity 20.9, (2 2 4)
44.9 deg, d 2.018, intensity 19.1, (0 4 4)
36.0 deg, d 2.493, intensity 18.3, (0 0 4)

Cell and atoms:
a b c (Å): 9.889 13.753 9.973
angles (deg): 90.00 90.00 90.00
Space group Pnma (No. 62)
Inequivalent atoms, fractional coordinates:
Cs 0.000 0.000 0.249
Cs 0.243 0.250 0.000
In 0.250 0.250 0.500
Cl 0.051 0.750 0.205
Cl 0.051 0.750 0.795
Cl 0.249 0.007 0.500

***

11.
This entry pairs a crystal structure of CsInCl2 with its calculated PXRD pattern. Radiation: Cu Kα (λ = 1.5418 Å). Structure: a DFT-relaxed cell (PBE, Alexandria).
Lines closer than 0.1° are merged.

The 10 most intense peaks (2θ from 10° to 90°), in order of falling intensity:
20.7 deg, d 4.293, intensity 100.0, (1 1 2)
33.8 deg, d 2.654, intensity 42.8, (2 0 4)
40.8 deg, d 2.212, intensity 32.9, (3 1 2)
34.8 deg, d 2.581, intensity 19.2, (2 2 0)
39.1 deg, d 2.306, intensity 18.9, (1 1 6)
24.4 deg, d 3.650, intensity 15.6, (2 0 0)
53.3 deg, d 1.719, intensity 14.8, (3 1 6)
61.7 deg, d 1.504, intensity 12.7, (4 2 4)
23.0 deg, d 3.865, intensity 8.5, (0 0 4)
42.1 deg, d 2.147, intensity 8.1, (2 2 4)

Cell and atoms:
a b c (Å): 7.300 7.300 15.461
angles (deg): 90.00 90.00 90.00
Space group I-42d (No. 122)
Inequivalent atoms, fractional coordinates:
Cs 0.000 0.000 0.000
In 0.000 0.000 0.500
Cl 0.211 0.250 0.625

***

12.
This entry pairs a crystal structure of Cs2MgInCl5 with its calculated PXRD pattern. Radiation: Cu Kα (λ = 1.5418 Å). Structure: a DFT-relaxed cell (PBE, Alexandria).
Lines closer than 0.1° are merged.

The 10 most intense peaks (2θ from 10° to 90°), in order of falling intensity:
24.1 deg, d 3.699, intensity 100.0, (1 1 2)
32.9 deg, d 2.719, intensity 51.7, (1 0 5)
30.3 deg, d 2.948, intensity 45.9, (1 2 1)
32.5 deg, d 2.751, intensity 42.2, (0 2 4)
20.3 deg, d 4.382, intensity 36.4, (0 1 3)
59.9 deg, d 1.543, intensity 31.0, (1 4 5)
35.9 deg, d 2.499, intensity 26.3, (2 0 0)
49.3 deg, d 1.850, intensity 24.3, (2 2 4)
41.9 deg, d 2.154, intensity 22.4, (1 3 2)
23.7 deg, d 3.748, intensity 19.4, (0 2 0)

Cell and atoms:
a b c (Å): 4.998 7.496 16.201
angles (deg): 90.00 90.00 90.00
Space group Immm (No. 71)
Inequivalent atoms, fractional coordinates:
Cs 0.000 0.000 0.210
Mg 0.000 0.500 0.500
In 0.000 0.500 0.000
Cl 0.000 0.000 0.000
Cl 0.000 0.256 0.390